Structure and theoretical XRD peak list of KAg2AsS3O (a GGA-PBE-relaxed structure; Cu Kα (weighted mean of Kα1 and Kα2)).

Main lines, sorted by position (10 to 90 degrees two-theta):
hkl 0 2 1, 27.37°, I 54; hkl 2 0 0, 27.77°, I 40; hkl 2 2 -1, 28.53°, I 100; hkl 2 0 -2, 29.90°, I 41; hkl 0 4 0, 38.59°, I 26; hkl 0 0 2, 39.59°, I 21; hkl 2 2 1, 48.18°, I 39; hkl 2 4 -2, 49.57°, I 19; hkl 4 2 -1, 50.30°, I 24; hkl 4 2 -3, 52.92°, I 19

Cell and atoms:
```
16
Lattice="8.4591 0.0000 0.0000 0.0000 9.3316 0.0000 -3.8993 0.0000 4.5526" Properties=species:S:1:pos:R:3 pbc="T T T"
K 0.0000 0.0000 0.0000
K 4.2296 4.6658 0.0000
Ag 2.1050 2.2788 2.0387
Ag 2.1050 7.0528 2.0387
Ag 6.3346 2.3870 2.0387
Ag 6.3346 6.9446 2.0387
As 0.2044 0.0000 4.1002
As 4.4339 4.6658 4.1002
S 1.1484 4.6658 1.3381
S -1.0728 1.8129 4.2237
S -1.0728 7.5186 4.2237
S 5.3780 0.0000 1.3381
S 3.1568 2.8529 4.2237
S 3.1568 6.4787 4.2237
O 1.0837 0.0000 2.6154
O 5.3133 4.6658 2.6154
```